Computed X-ray diffraction stick pattern
Compound: Sr2Al3Ge4
Radiation: Cu Kα (λ = 1.5418 Å)
Structure: a structure optimized by DFT (PBE)

Crystal structure
```
data_Sr2Al3Ge4
_symmetry_space_group_name_H-M 'P 1'
_symmetry_Int_Tables_number 1
_cell_length_a 8.457
_cell_length_b 8.457
_cell_length_c 8.091
_cell_angle_alpha 90.00
_cell_angle_beta 90.00
_cell_angle_gamma 137.80
loop_
_symmetry_equiv_pos_as_xyz
'x,y,z'
loop_
_atom_site_label
_atom_site_type_symbol
_atom_site_fract_x
_atom_site_fract_y
_atom_site_fract_z
Sr1 Sr 0.113 0.887 0.914
Sr2 Sr 0.387 0.613 0.414
Sr3 Sr 0.613 0.387 0.586
Sr4 Sr 0.887 0.113 0.086
Al1 Al 0.000 0.000 0.500
Al2 Al 0.033 0.467 0.750
Al3 Al 0.467 0.033 0.250
Al4 Al 0.500 0.500 0.000
Al5 Al 0.533 0.967 0.750
Al6 Al 0.967 0.533 0.250
Ge1 Ge 0.187 0.813 0.546
Ge2 Ge 0.196 0.304 0.750
Ge3 Ge 0.304 0.196 0.250
Ge4 Ge 0.313 0.687 0.046
Ge5 Ge 0.687 0.313 0.954
Ge6 Ge 0.696 0.804 0.750
Ge7 Ge 0.804 0.696 0.250
Ge8 Ge 0.813 0.187 0.454
```

Top 10 peaks for 15 to 90 degrees two-theta, in order of rising 2θ:
- 25.11 deg, d = 3.546 Å, I = 18
- 31.52 deg, d = 2.838 Å, I = 46
- 33.43 deg, d = 2.680 Å, I = 64
- 33.86 deg, d = 2.648 Å, I = 100
- 35.17 deg, d = 2.552 Å, I = 69
- 35.91 deg, d = 2.501 Å, I = 27
- 36.95 deg, d = 2.433 Å, I = 89
- 37.31 deg, d = 2.410 Å, I = 19
- 48.59 deg, d = 1.874 Å, I = 20
- 54.97 deg, d = 1.670 Å, I = 24



Computed X-ray diffraction stick pattern
Compound: Na2NbZn2O6
Radiation: Cu Kα (λ = 1.5418 Å)
Structure: a structure optimized by DFT (PBE)

Crystal structure
```
data_Na2NbZn2O6
_symmetry_space_group_name_H-M 'P 1'
_symmetry_Int_Tables_number 1
_cell_length_a 5.303
_cell_length_b 5.303
_cell_length_c 5.668
_cell_angle_alpha 90.00
_cell_angle_beta 90.00
_cell_angle_gamma 120.00
loop_
_symmetry_equiv_pos_as_xyz
'x,y,z'
loop_
_atom_site_label
_atom_site_type_symbol
_atom_site_fract_x
_atom_site_fract_y
_atom_site_fract_z
Na1 Na 0.333 0.667 0.000
Na2 Na 0.667 0.333 0.000
Nb1 Nb 0.000 0.000 0.500
Zn1 Zn 0.333 0.667 0.500
Zn2 Zn 0.667 0.333 0.500
O1 O 0.000 0.321 0.697
O2 O 0.000 0.679 0.303
O3 O 0.321 0.000 0.697
O4 O 0.321 0.321 0.303
O5 O 0.679 0.000 0.303
O6 O 0.679 0.679 0.697
```

Top 10 peaks for 15 to 90 degrees two-theta, in order of rising 2θ:
- 15.63 deg, d = 5.668 Å, I = 100
- 31.57 deg, d = 2.834 Å, I = 15
- 33.81 deg, d = 2.651 Å, I = 50
- 37.45 deg, d = 2.402 Å, I = 49
- 46.93 deg, d = 1.936 Å, I = 73
- 60.13 deg, d = 1.539 Å, I = 17
- 60.48 deg, d = 1.531 Å, I = 21
- 62.89 deg, d = 1.478 Å, I = 13
- 76.17 deg, d = 1.250 Å, I = 12
- 79.88 deg, d = 1.201 Å, I = 13